Theoretical PXRD pattern
Compound: UHg2
Radiation: Cu Kα (λ = 1.5418 Å)
Structure: a structure optimized by DFT (GGA-PBE)
Intensities are scaled so that the largest is 100.

Largest 10 diffraction maxima, sorted by position, 2θ from 15° to 90°:
| h k l | 2θ (°) | I/Imax |
| --- | --- | --- |
| 1 1 0 | 34.8 | 100 |
| 1 0 1 | 35.8 | 86 |
| 1 1 1 | 46.2 | 7 |
| 2 0 1 | 50.7 | 32 |
| 0 0 2 | 61.1 | 7 |
| 3 0 0 | 62.3 | 19 |
| 2 1 1 | 63.0 | 35 |
| 1 1 2 | 72.2 | 25 |
| 2 2 0 | 73.4 | 12 |
| 3 1 1 | 84.4 | 16 |

Structure:
Lattice parameters (Å, degrees): 5.1610 5.1610 3.0347 90.00 90.00 120.00
Sites, in units of the cell vectors:
U 0.0000 0.0000 0.0000
Hg 0.3333 0.6667 0.5000
Hg 0.6667 0.3333 0.5000